Starting from the PBE geometry in Alexandria, the X-ray powder pattern of NaSr3Ca3 was computed for Cu Ka.
Kinematic intensities with the Lorentz-polarization factor, no thermal factor.

Cell and atoms:
a = 10.4355 Å, b = 6.5629 Å, c = 10.8266 Å
α = 90.00°, β = 117.17°, γ = 90.00°
Space group P2_1/m (No. 11)
Inequivalent atoms, fractional coordinates:
1 Na 0.1750 0.2500 0.3272 [2 per cell]
2 Sr 0.0549 0.2500 0.6197 [2 per cell]
3 Sr 0.1128 0.7500 0.1043 [2 per cell]
4 Sr 0.3933 0.7500 0.5349 [2 per cell]
5 Ca 0.2576 0.7500 0.8249 [2 per cell]
6 Ca 0.3256 0.2500 0.0486 [2 per cell]
7 Ca 0.4689 0.2500 0.7791 [2 per cell]

Main lines, by angle (2θ = 10–90°):
2θ/deg	I/Imax	h k l
26.17	20	3 0 -2
27.18	33	0 2 0
28.37	100	1 1 -3
29.56	22	3 1 -2
38.08	16	3 2 -2
48.76	21	1 3 -3

Starting from the PBE geometry in Alexandria, the X-ray powder pattern of KCaTaO4 was computed for Cu Ka.
Kinematic intensities with the Lorentz-polarization factor, no thermal factor.

Cell and atoms:
a = 6.1837 Å, b = 6.2662 Å, c = 7.3968 Å
α = 90.00°, β = 104.20°, γ = 90.00°
Space group P2_1/m (No. 11)
Inequivalent atoms, fractional coordinates:
1 K 0.2058 0.2500 0.4263 [2 per cell]
2 Ca 0.3173 0.2500 0.9566 [2 per cell]
3 Ta 0.2127 0.7500 0.1553 [2 per cell]
4 O 0.0156 0.7500 0.3109 [2 per cell]
5 O 0.0168 0.7500 0.9224 [2 per cell]
6 O 0.4149 0.5211 0.1759 [4 per cell]

Main lines, by angle (2θ = 10–90°):
2θ/deg	I/Imax	h k l
12.34	94	0 0 1
16.79	69	1 0 -1
18.81	100	0 1 1
21.53	49	1 0 1
28.49	55	0 2 0
28.69	60	0 1 2

Starting from the PBE geometry in Alexandria, the X-ray powder pattern of YAs3Rh3 was computed for Cu Ka.
Kinematic intensities with the Lorentz-polarization factor, no thermal factor.

Cell and atoms:
a = 6.6871 Å, b = 6.6871 Å, c = 6.6871 Å
α = 90.00°, β = 90.00°, γ = 90.00°
Space group Pm-3n (No. 223)
Inequivalent atoms, fractional coordinates:
1 Y 0.0000 0.0000 0.0000 [2 per cell]
2 As 0.0000 0.2500 0.5000 [6 per cell]
3 Rh 0.0000 0.5000 0.2500 [6 per cell]

Main lines, by angle (2θ = 10–90°):
2θ/deg	I/Imax	h k l
18.77	23	1 1 0
26.66	43	2 0 0
32.81	100	2 1 1
47.08	34	2 2 2
51.11	56	3 2 1
54.92	31	4 0 0